1.
Starting from DFT lattice parameters and positions (GGA-PBE), the XRD peak list of Sm6ErTm2 was calculated for Cu Kα (weighted mean of Kα1 and Kα2).
Kinematic intensities with the Lorentz-polarization factor, no thermal factor.

Most intense lines, 5 to 70 degrees two-theta, by angle:
| Position (°2θ) | Rel. int. |
| --- | --- |
| 31.39 | 100 |
| 31.49 | 33 |
| 31.71 | 71 |
| 45.07 | 24 |
| 55.90 | 12 |
| 56.10 | 13 |
| 56.22 | 12 |
| 62.49 | 21 |

```
Sm6ErTm2
1.0
10.868 -4.872 0.000
10.868 4.872 0.000
-1.489 0.000 5.499
Sm Er Tm
12 2 4
Cartesian
1.360 0.787 1.722 Sm
7.074 2.421 0.445 Sm
0.616 -0.787 4.472 Sm
8.074 0.822 3.561 Sm
13.918 2.421 2.304 Sm
8.818 -0.822 0.811 Sm
11.430 0.822 4.688 Sm
6.330 -2.421 3.195 Sm
12.174 -0.822 1.939 Sm
19.632 0.787 1.027 Sm
13.174 -2.421 5.054 Sm
18.888 -0.787 3.777 Sm
10.496 2.423 1.375 Er
9.752 -2.423 4.124 Er
4.659 0.807 2.819 Tm
5.403 -0.807 0.069 Tm
14.845 0.807 5.430 Tm
15.589 -0.807 2.680 Tm
```

=====

2.
Starting from DFT lattice parameters and positions (GGA-PBE), the XRD peak list of SmEr10Tm4 was calculated for Cu Kα (weighted mean of Kα1 and Kα2).
Kinematic intensities with the Lorentz-polarization factor, no thermal factor.

Most intense lines, 5 to 70 degrees two-theta, by angle:
| Position (°2θ) | Rel. int. |
| --- | --- |
| 20.25 | 26 |
| 23.42 | 14 |
| 33.36 | 100 |
| 39.34 | 14 |
| 47.90 | 18 |
| 52.51 | 6 |
| 53.98 | 6 |
| 59.63 | 38 |

```
SmEr10Tm4
1.0
-6.005 6.005 3.799
6.005 -6.005 3.799
6.005 6.005 -3.799
Sm Er Tm
1 10 4
Cartesian
0.000 0.000 0.000 Sm
7.219 3.594 -1.880 Er
3.594 4.791 -1.880 Er
6.005 0.000 1.899 Er
2.412 1.214 1.919 Er
-1.214 2.412 1.919 Er
7.219 3.594 1.880 Er
3.594 4.791 1.880 Er
0.000 6.005 1.899 Er
2.412 1.214 5.679 Er
-1.214 2.412 5.679 Er
4.809 2.384 0.000 Tm
3.621 -1.196 3.799 Tm
2.384 7.201 0.000 Tm
1.196 3.621 3.799 Tm
```

=====

3.
Starting from DFT lattice parameters and positions (GGA-PBE), the XRD peak list of Sm8Er4Tm3 was calculated for Cu Kα (weighted mean of Kα1 and Kα2).
Kinematic intensities with the Lorentz-polarization factor, no thermal factor.

Most intense lines, 5 to 70 degrees two-theta, by angle:
| Position (°2θ) | Rel. int. |
| --- | --- |
| 29.50 | 43 |
| 29.59 | 100 |
| 29.72 | 97 |
| 30.11 | 58 |
| 30.78 | 29 |
| 33.11 | 43 |
| 34.26 | 44 |
| 42.43 | 63 |

```
Sm8Er4Tm3
1.0
6.775 -6.038 0.000
6.775 6.038 0.000
-3.144 0.000 6.054
Sm Er Tm
8 4 3
Cartesian
2.204 0.000 1.036 Sm
6.775 3.572 0.000 Sm
5.203 2.984 3.027 Sm
1.246 0.000 4.287 Sm
9.160 0.000 1.767 Sm
5.203 -2.984 3.027 Sm
6.775 -3.572 0.000 Sm
8.201 0.000 5.018 Sm
3.387 3.019 0.000 Er
3.387 -3.019 0.000 Er
6.775 0.000 0.000 Er
5.203 0.000 3.027 Er
-1.572 0.000 3.027 Tm
1.815 3.019 3.027 Tm
1.815 -3.019 3.027 Tm
```

=====

4.
Starting from DFT lattice parameters and positions (GGA-PBE), the XRD peak list of Sm2Er3Tm4 was calculated for Cu Kα (weighted mean of Kα1 and Kα2).
Kinematic intensities with the Lorentz-polarization factor, no thermal factor.

Most intense lines, 5 to 70 degrees two-theta, by angle:
| Position (°2θ) | Rel. int. |
| --- | --- |
| 30.54 | 62 |
| 31.12 | 47 |
| 31.26 | 60 |
| 32.15 | 100 |
| 37.88 | 34 |
| 38.48 | 28 |
| 50.73 | 14 |
| 56.66 | 21 |

```
Sm2Er3Tm4
1.0
8.263 -5.749 0.000
8.263 5.749 0.000
-0.730 0.000 5.873
Sm Er Tm
4 6 8
Cartesian
5.999 4.459 4.233 Sm
9.432 4.459 4.576 Sm
6.365 -4.459 1.296 Sm
9.797 -4.459 1.640 Sm
8.081 3.993 1.468 Er
5.246 1.747 2.428 Er
4.881 -1.747 5.364 Er
10.915 1.747 0.508 Er
10.550 -1.747 3.445 Er
7.716 -3.993 4.404 Er
3.211 1.244 5.129 Tm
6.544 1.226 5.607 Tm
3.576 -1.244 2.193 Tm
8.887 1.226 3.202 Tm
6.909 -1.226 2.671 Tm
12.220 1.244 3.680 Tm
9.252 -1.226 0.266 Tm
12.585 -1.244 0.743 Tm
```

=====

5.
Starting from DFT lattice parameters and positions (GGA-PBE), the XRD peak list of Sm3ErTm2 was calculated for Cu Kα (weighted mean of Kα1 and Kα2).
Kinematic intensities with the Lorentz-polarization factor, no thermal factor.

Most intense lines, 5 to 70 degrees two-theta, by angle:
| Position (°2θ) | Rel. int. |
| --- | --- |
| 28.92 | 37 |
| 31.21 | 50 |
| 31.95 | 100 |
| 33.65 | 88 |
| 50.85 | 26 |
| 54.90 | 21 |
| 58.21 | 19 |
| 60.89 | 45 |

```
Sm3ErTm2
1.0
8.844 -3.590 0.000
8.844 3.590 0.000
-1.460 0.000 6.047
Sm Er Tm
6 2 4
Cartesian
2.928 0.898 0.160 Sm
7.749 2.674 4.535 Sm
2.198 -0.898 3.184 Sm
14.030 0.898 2.863 Sm
8.479 -2.674 1.512 Sm
13.300 -0.898 5.887 Sm
8.479 0.882 1.512 Er
7.749 -0.882 4.535 Er
5.213 0.890 2.853 Tm
4.483 -0.890 5.877 Tm
11.744 0.890 0.170 Tm
11.014 -0.890 3.194 Tm
```

=====

6.
Starting from DFT lattice parameters and positions (GGA-PBE), the XRD peak list of Sm16Er6Tm7 was calculated for Cu Kα (weighted mean of Kα1 and Kα2).
Kinematic intensities with the Lorentz-polarization factor, no thermal factor.

Most intense lines, 5 to 70 degrees two-theta, by angle:
| Position (°2θ) | Rel. int. |
| --- | --- |
| 27.66 | 6 |
| 29.38 | 9 |
| 32.05 | 100 |
| 44.03 | 6 |
| 45.96 | 15 |
| 57.13 | 28 |
| 60.64 | 6 |
| 67.02 | 8 |

```
Sm16Er6Tm7
1.0
0.000 7.899 7.899
7.899 0.000 7.899
7.899 7.899 0.000
Sm Er Tm
16 6 7
Cartesian
10.255 5.543 5.543 Sm
1.965 1.965 1.965 Sm
5.934 5.934 1.965 Sm
5.934 1.965 5.934 Sm
5.543 5.543 5.543 Sm
10.255 10.255 5.543 Sm
10.255 5.543 10.255 Sm
13.833 9.863 9.863 Sm
1.965 5.934 5.934 Sm
5.543 10.255 5.543 Sm
5.543 5.543 10.255 Sm
10.255 10.255 10.255 Sm
9.863 13.833 9.863 Sm
9.863 9.863 13.833 Sm
13.833 13.833 13.833 Sm
5.543 10.255 10.255 Sm
7.899 7.899 4.215 Er
7.899 4.215 7.899 Er
11.582 7.899 7.899 Er
4.215 7.899 7.899 Er
7.899 11.582 7.899 Er
7.899 7.899 11.582 Er
0.000 0.000 0.000 Tm
3.949 3.949 0.000 Tm
3.949 0.000 3.949 Tm
7.899 3.949 3.949 Tm
0.000 3.949 3.949 Tm
3.949 7.899 3.949 Tm
3.949 3.949 7.899 Tm
```